[1]
Simulated X-ray diffraction stick pattern
Compound: La2PmY
Radiation: CuKα
Structure: a cell relaxed with PBE
Neutral-atom scattering factors, no anomalous dispersion.

Structural model:
```
4
Lattice="0.000 4.144 4.144 4.144 0.000 4.144 4.144 4.144 0.000" Properties=species:S:1:pos:R:3 pbc="T T T"
La 2.072 2.072 2.072
La 6.216 6.216 6.216
Pm 0.000 0.000 0.000
Y 4.144 4.144 4.144
```

The 10 most intense peaks (10 to 90 degrees two-theta), in order of falling intensity:
d 2.930, I = 100
d 1.692, I = 39
d 1.108, I = 20
d 2.072, I = 19
d 1.310, I = 17
d 1.465, I = 12
d 1.196, I = 4
d 4.785, I = 3
d 2.499, I = 2
d 1.901, I = 1

[2]
Simulated X-ray diffraction stick pattern
Compound: TlIn9Au2
Radiation: CuKα
Structure: a cell relaxed with PBE
Neutral-atom scattering factors, no anomalous dispersion.

Structural model:
```
24
Lattice="-6.189 6.189 4.145 6.189 -6.189 4.145 6.189 6.189 -4.145" Properties=species:S:1:pos:R:3 pbc="T T T"
Tl 6.189 3.095 1.036
Tl 0.000 3.095 3.109
In 4.667 -0.788 1.351
In 7.712 -0.788 1.351
In 6.189 -3.095 3.109
In 2.307 1.572 0.722
In 10.071 1.572 0.722
In 4.667 5.402 -1.351
In 1.523 -0.788 2.794
In 2.307 4.617 0.722
In 3.882 -1.572 4.867
In 2.307 7.761 -0.722
In 3.882 1.572 3.424
In 4.667 6.977 1.351
In 1.523 0.788 5.497
In -3.882 4.617 3.424
In 3.882 4.617 3.424
In 0.000 9.284 1.036
In -1.523 6.977 2.794
In 1.523 6.977 2.794
Au 0.000 0.000 0.000
Au 3.095 3.095 -2.073
Au 3.095 -3.095 2.073
Au 0.000 6.189 0.000
```

The 10 most intense peaks (10 to 90 degrees two-theta), in order of falling intensity:
d 2.846, I = 100
d 2.372, I = 60
d 3.172, I = 39
d 2.768, I = 39
d 2.302, I = 33
d 2.697, I = 29
d 2.473, I = 19
d 1.613, I = 18
d 1.873, I = 15
d 1.384, I = 15

[3]
Simulated X-ray diffraction stick pattern
Compound: Tm6InSe3
Radiation: CuKα
Structure: a cell relaxed with PBE
Neutral-atom scattering factors, no anomalous dispersion.

Structural model:
```
20
Lattice="11.738 0.000 0.000 0.000 3.849 0.000 -3.482 0.000 11.456" Properties=species:S:1:pos:R:3 pbc="T T T"
Tm 11.220 0.962 1.693
Tm -2.964 2.887 9.763
Tm -0.095 2.887 4.817
Tm -0.033 0.962 8.791
Tm 2.624 0.962 2.826
Tm 4.201 2.887 0.286
Tm 2.840 0.962 6.804
Tm 5.416 2.887 4.651
Tm 4.055 0.962 11.170
Tm 5.632 2.887 8.629
Tm 8.289 2.887 2.665
Tm 8.351 0.962 6.638
In 2.486 2.887 9.222
In 5.769 0.962 2.234
Se -1.452 2.887 7.345
Se -1.540 0.962 11.399
Se 2.682 2.887 4.839
Se 5.574 0.962 6.616
Se 9.796 2.887 0.057
Se 9.708 0.962 4.111
```

The 10 most intense peaks (10 to 90 degrees two-theta), in order of falling intensity:
d 2.936, I = 100
d 2.918, I = 56
d 3.195, I = 43
d 1.924, I = 37
d 2.189, I = 34
d 2.684, I = 28
d 1.607, I = 28
d 2.873, I = 26
d 2.949, I = 26
d 3.213, I = 24